Starting from a cell relaxed with GGA-PBE, the powder XRD pattern of Te2PO7 was simulated for λ = 1.5418 Å (Cu Kα).
Kinematic intensities with the Lorentz-polarization factor, no thermal factor.

Largest 10 diffraction maxima, in order of rising 2θ, 2θ from 10° to 90°:
2theta, I/Imax, (hkl)
12.14, 17, 0 1 0
18.55, 63, 1 1 1
21.80, 26, 2 0 1
22.81, 24, 2 1 0
25.02, 29, 2 1 1
25.71, 100, 1 1 2
33.24, 31, 3 1 1
33.49, 22, 1 2 2
36.57, 22, 2 0 3
44.47, 22, 4 0 2

```
data_Te2PO7
_cell_length_a 9.228
_cell_length_b 7.293
_cell_length_c 8.709
_cell_angle_alpha 90.00
_cell_angle_beta 90.00
_cell_angle_gamma 90.00
_symmetry_space_group_name_H-M 'P c a 21'
_symmetry_Int_Tables_number 29
_symmetry_space_group_name_Hall 'P 2c -2ac'
loop_
_atom_site_label
_atom_site_fract_x
_atom_site_fract_y
_atom_site_fract_z
Te1 0.150 0.224 0.000
Te2 0.195 0.863 0.702
P1 0.058 0.457 0.307
O1 0.006 0.908 0.618
O2 0.053 0.661 0.355
O3 0.099 0.619 0.803
O4 0.129 0.455 0.143
O5 0.146 0.338 0.423
O6 0.171 0.959 0.907
O7 0.224 0.132 0.658
```